The following is a calculated PXRD pattern of SmPaCr2O8. It was derived from a PBE+U-relaxed structure, using CuKα.
Peak positions follow from Bragg's law for the DFT cell and can differ from measured ones.

Largest 10 diffraction maxima, sorted by position, 5 to 70 degrees two-theta:
| 2θ (°) | I/Imax |
| --- | --- |
| 18.39 | 58 |
| 24.75 | 100 |
| 31.01 | 20 |
| 32.68 | 75 |
| 35.28 | 24 |
| 40.07 | 17 |
| 48.85 | 62 |
| 50.77 | 23 |
| 57.27 | 19 |
| 61.69 | 18 |

Cell: 6.0379 6.0379 6.0379 Å, 106.86 106.86 114.83°
Sites, in units of the cell vectors:
Sm 0.0000 0.0000 0.0000
Pa 0.2500 0.7500 0.5000
Cr 0.5000 0.5000 0.0000
Cr 0.7500 0.2500 0.5000
O 0.3204 0.1303 0.8099
O 0.3204 0.5105 0.1901
O 0.3791 0.0557 0.3235
O 0.4895 0.6796 0.8099
O 0.7322 0.0557 0.6765
O 0.8697 0.6796 0.1901
O 0.9443 0.2678 0.3235
O 0.9443 0.6209 0.6765